Starting from a GGA-PBE-relaxed structure, the X-ray powder pattern of ReN2 was calculated for Cu Kα X-rays.

Main lines, in order of rising 2θ (2θ from 10° to 80°):
hkl 1 1 0, 28.76 deg, intensity 1000
hkl 0 0 1, 33.48 deg, intensity 294
hkl 2 0 0, 41.12 deg, intensity 484
hkl 1 1 1, 44.71 deg, intensity 853
hkl 2 0 1, 54.03 deg, intensity 413
hkl 2 2 0, 59.56 deg, intensity 160
hkl 3 1 0, 67.46 deg, intensity 239
hkl 2 2 1, 70.08 deg, intensity 196
hkl 3 1 1, 77.45 deg, intensity 275
hkl 1 1 2, 77.70 deg, intensity 132

Atomic structure:
```
6
Lattice="4.390 0.000 0.000 0.000 4.390 0.000 0.000 0.000 2.677" Properties=species:S:1:pos:R:3 pbc="T T T"
Re 0.000 0.000 0.000
Re 2.195 2.195 0.000
N 0.502 1.693 1.338
N 1.693 3.888 1.338
N 2.697 0.502 1.338
N 3.888 2.697 1.338
```


Starting from a GGA-PBE-relaxed structure, the X-ray powder pattern of Li2ReN2 was calculated for Cu Kα X-rays.

Main lines, in order of rising 2θ (2θ from 10° to 80°):
hkl 0 0 1, 11.54 deg, intensity 1000
hkl 0 0 2, 23.19 deg, intensity 139
hkl 0 0 3, 35.10 deg, intensity 51
hkl 2 0 0, 35.30 deg, intensity 151
hkl 2 0 1, 37.26 deg, intensity 307
hkl 2 0 2, 42.67 deg, intensity 251
hkl 1 1 -3, 50.62 deg, intensity 121
hkl 2 0 -4, 60.40 deg, intensity 53
hkl 3 1 0, 63.36 deg, intensity 47
hkl 3 1 -1, 64.65 deg, intensity 71

Atomic structure:
```
10
Lattice="5.084 0.000 0.000 0.000 2.936 0.000 -0.017 0.000 7.670" Properties=species:S:1:pos:R:3 pbc="T T T"
Li 0.847 0.000 2.319
Li 1.677 1.468 5.351
Li 3.390 1.468 2.319
Li 4.220 0.000 5.351
Re 0.000 1.468 0.000
Re 2.542 0.000 0.000
N 0.830 0.000 6.414
N 1.695 1.468 1.256
N 3.372 1.468 6.414
N 4.237 0.000 1.256
```